No. 1
CaTb8Y4: theoretical powder diffractogram (Cu Kα (weighted mean of Kα1 and Kα2)), based on the GGA-PBE geometry in Alexandria.
Kinematic intensities with the Lorentz-polarization factor, no thermal factor.

Cell: 6.2101 6.2101 14.7726 Å, 94.05 94.05 48.16°
Atoms (fractional coordinates):
Ca 0.0000 0.0000 0.0000
Tb 0.0775 0.0775 0.7652
Tb 0.2323 0.2323 0.3084
Tb 0.3068 0.3068 0.0811
Tb 0.4629 0.4629 0.6149
Tb 0.5371 0.5371 0.3851
Tb 0.6932 0.6932 0.9189
Tb 0.7677 0.7677 0.6916
Tb 0.9225 0.9225 0.2348
Y 0.1533 0.1533 0.5384
Y 0.3797 0.3797 0.8407
Y 0.6203 0.6203 0.1593
Y 0.8467 0.8467 0.4616

Most intense lines, 10° ≤ 2θ ≤ 90°, low angle first:
| Position (°2θ) | d/Å | I (rel.) |
| --- | --- | --- |
| 30.55 | 2.926 | 1000 |
| 35.42 | 2.534 | 504 |
| 50.96 | 1.792 | 354 |
| 60.59 | 1.528 | 418 |
| 63.59 | 1.463 | 120 |
| 74.97 | 1.267 | 37 |
| 83.04 | 1.163 | 86 |
| 83.08 | 1.163 | 84 |
| 85.69 | 1.134 | 80 |
| 85.75 | 1.133 | 78 |

No. 2
FeNiRu4: theoretical powder diffractogram (Cu Kα (weighted mean of Kα1 and Kα2)), based on the GGA-PBE geometry in Alexandria.
Kinematic intensities with the Lorentz-polarization factor, no thermal factor.

Cell: 5.0196 5.0196 5.0196 Å, 60.00 60.00 60.00°
Atoms (fractional coordinates):
Fe 0.0000 0.0000 0.0000
Ni 0.7500 0.7500 0.7500
Ru 0.3753 0.3753 0.3753
Ru 0.3753 0.3753 0.8741
Ru 0.3753 0.8741 0.3753
Ru 0.8741 0.3753 0.3753

Most intense lines, 10° ≤ 2θ ≤ 90°, low angle first:
| Position (°2θ) | d/Å | I (rel.) |
| --- | --- | --- |
| 21.68 | 4.098 | 318 |
| 35.78 | 2.510 | 144 |
| 42.22 | 2.140 | 1000 |
| 44.20 | 2.049 | 576 |
| 51.49 | 1.775 | 136 |
| 56.51 | 1.629 | 71 |
| 64.28 | 1.449 | 46 |
| 68.71 | 1.366 | 296 |
| 75.81 | 1.255 | 278 |
| 79.95 | 1.200 | 53 |

No. 3
Mn2ZnSi: theoretical powder diffractogram (Cu Kα (weighted mean of Kα1 and Kα2)), based on the GGA-PBE geometry in Alexandria.
Kinematic intensities with the Lorentz-polarization factor, no thermal factor.

Cell: 2.6605 3.4391 5.4276 Å, 90.00 90.74 90.00°
Atoms (fractional coordinates):
Mn 0.0070 0.0000 0.2658
Mn 0.9930 0.0000 0.7342
Zn 0.5000 0.5000 0.0000
Si 0.5000 0.5000 0.5000

Most intense lines, 10° ≤ 2θ ≤ 90°, low angle first:
| Position (°2θ) | d/Å | I (rel.) |
| --- | --- | --- |
| 30.78 | 2.905 | 163 |
| 42.43 | 2.130 | 1000 |
| 42.98 | 2.104 | 981 |
| 47.55 | 1.912 | 355 |
| 48.21 | 1.888 | 333 |
| 53.27 | 1.720 | 250 |
| 74.16 | 1.279 | 172 |
| 74.67 | 1.271 | 165 |
| 84.58 | 1.146 | 113 |
| 85.71 | 1.133 | 117 |

No. 4
PuAg3Hg: theoretical powder diffractogram (Cu Kα (weighted mean of Kα1 and Kα2)), based on the GGA-PBE geometry in Alexandria.
Kinematic intensities with the Lorentz-polarization factor, no thermal factor.

Cell: 5.0050 3.0340 13.8532 Å, 90.00 90.00 90.00°
Atoms (fractional coordinates):
Pu 0.2500 0.0000 0.1554
Pu 0.7500 0.0000 0.8446
Ag 0.2500 0.0000 0.5583
Ag 0.2500 0.5000 0.7420
Ag 0.2500 0.5000 0.9478
Ag 0.7500 0.0000 0.4417
Ag 0.7500 0.5000 0.0522
Ag 0.7500 0.5000 0.2580
Hg 0.2500 0.5000 0.3691
Hg 0.7500 0.5000 0.6309

Most intense lines, 10° ≤ 2θ ≤ 90°, low angle first:
| Position (°2θ) | d/Å | I (rel.) |
| --- | --- | --- |
| 18.85 | 4.707 | 100 |
| 35.40 | 2.536 | 265 |
| 35.88 | 2.503 | 287 |
| 37.04 | 2.427 | 1000 |
| 51.29 | 1.781 | 186 |
| 55.44 | 1.657 | 77 |
| 65.25 | 1.430 | 190 |
| 67.82 | 1.382 | 77 |
| 72.92 | 1.297 | 72 |
| 73.67 | 1.286 | 123 |

No. 5
La6PmNd12: theoretical powder diffractogram (Cu Kα (weighted mean of Kα1 and Kα2)), based on the GGA-PBE geometry in Alexandria.
Kinematic intensities with the Lorentz-polarization factor, no thermal factor.

Cell: 9.7915 9.7915 9.7915 Å, 110.89 110.89 110.89°
Atoms (fractional coordinates):
La 0.0542 0.3689 0.5790
La 0.3689 0.5790 0.0542
La 0.4210 0.9458 0.6311
La 0.5790 0.0542 0.3689
La 0.6311 0.4210 0.9458
La 0.9458 0.6311 0.4210
Pm 0.0000 0.0000 0.0000
Nd 0.1056 0.7378 0.1567
Nd 0.1567 0.1056 0.7378
Nd 0.2097 0.4721 0.3146
Nd 0.2622 0.8433 0.8944
Nd 0.3146 0.2097 0.4721
Nd 0.4721 0.3146 0.2097
Nd 0.5279 0.6854 0.7903
Nd 0.6854 0.7903 0.5279
Nd 0.7378 0.1567 0.1056
Nd 0.7903 0.5279 0.6854
Nd 0.8433 0.8944 0.2622
Nd 0.8944 0.2622 0.8433

Most intense lines, 10° ≤ 2θ ≤ 90°, low angle first:
| Position (°2θ) | d/Å | I (rel.) |
| --- | --- | --- |
| 29.54 | 3.023 | 1000 |
| 34.25 | 2.618 | 507 |
| 49.21 | 1.851 | 364 |
| 58.44 | 1.579 | 326 |
| 58.50 | 1.578 | 108 |
| 61.36 | 1.511 | 94 |
| 79.76 | 1.202 | 88 |
| 79.91 | 1.200 | 88 |
| 82.29 | 1.172 | 82 |
| 82.41 | 1.170 | 81 |

No. 6
YEr3Pb3: theoretical powder diffractogram (Cu Kα (weighted mean of Kα1 and Kα2)), based on the GGA-PBE geometry in Alexandria.
Kinematic intensities with the Lorentz-polarization factor, no thermal factor.

Cell: 8.0569 8.0569 8.0569 Å, 69.14 69.14 69.14°
Atoms (fractional coordinates):
Y 0.1691 0.1691 0.1691
Y 0.8309 0.8309 0.8309
Er 0.1649 0.6661 0.4134
Er 0.3339 0.5866 0.8351
Er 0.4134 0.1649 0.6661
Er 0.5866 0.8351 0.3339
Er 0.6661 0.4134 0.1649
Er 0.8351 0.3339 0.5866
Pb 0.0296 0.4145 0.8116
Pb 0.1884 0.9704 0.5855
Pb 0.4145 0.8116 0.0296
Pb 0.5855 0.1884 0.9704
Pb 0.8116 0.0296 0.4145
Pb 0.9704 0.5855 0.1884

Most intense lines, 10° ≤ 2θ ≤ 90°, low angle first:
| Position (°2θ) | d/Å | I (rel.) |
| --- | --- | --- |
| 19.42 | 4.572 | 685 |
| 29.35 | 3.043 | 718 |
| 30.26 | 2.953 | 448 |
| 31.46 | 2.844 | 1000 |
| 33.97 | 2.639 | 613 |
| 35.43 | 2.533 | 732 |
| 35.88 | 2.503 | 654 |
| 42.28 | 2.137 | 355 |
| 45.49 | 1.994 | 289 |
| 50.27 | 1.815 | 290 |

No. 7
PmDy2RuN4: theoretical powder diffractogram (Cu Kα (weighted mean of Kα1 and Kα2)), based on the GGA-PBE geometry in Alexandria.
Kinematic intensities with the Lorentz-polarization factor, no thermal factor.

Cell: 6.0768 6.0768 11.6310 Å, 90.00 90.00 147.22°
Atoms (fractional coordinates):
Pm 0.1222 0.8778 0.7500
Pm 0.8778 0.1222 0.2500
Dy 0.3689 0.6311 0.5424
Dy 0.3689 0.6311 0.9576
Dy 0.6311 0.3689 0.0424
Dy 0.6311 0.3689 0.4576
Ru 0.1417 0.8583 0.2500
Ru 0.8583 0.1417 0.7500
N 0.0000 0.0000 0.0000
N 0.0000 0.0000 0.5000
N 0.2676 0.7324 0.1284
N 0.2676 0.7324 0.3716
N 0.4434 0.5566 0.7500
N 0.5566 0.4434 0.2500
N 0.7324 0.2676 0.6284
N 0.7324 0.2676 0.8716

Most intense lines, 10° ≤ 2θ ≤ 90°, low angle first:
| Position (°2θ) | d/Å | I (rel.) |
| --- | --- | --- |
| 27.63 | 3.228 | 411 |
| 30.70 | 2.912 | 1000 |
| 31.24 | 2.863 | 971 |
| 35.78 | 2.510 | 226 |
| 38.27 | 2.352 | 930 |
| 43.98 | 2.059 | 280 |
| 47.89 | 1.900 | 216 |
| 49.82 | 1.830 | 222 |
| 53.07 | 1.726 | 221 |
| 62.90 | 1.478 | 264 |

No. 8
Na3As4Pd7: theoretical powder diffractogram (Cu Kα (weighted mean of Kα1 and Kα2)), based on the GGA-PBE geometry in Alexandria.
Kinematic intensities with the Lorentz-polarization factor, no thermal factor.

Cell: 8.1709 8.1709 9.4244 Å, 123.78 123.78 28.94°
Atoms (fractional coordinates):
Na 0.0000 0.0000 0.0000
Na 0.3303 0.3303 0.3337
Na 0.6697 0.6697 0.6663
As 0.1081 0.1081 0.8244
As 0.3340 0.3340 0.7322
As 0.6660 0.6660 0.2678
As 0.8919 0.8919 0.1756
Pd 0.0000 0.0000 0.5000
Pd 0.1717 0.1717 0.4258
Pd 0.3031 0.3031 0.9677
Pd 0.4880 0.4880 0.7222
Pd 0.5120 0.5120 0.2778
Pd 0.6969 0.6969 0.0323
Pd 0.8283 0.8283 0.5742

Most intense lines, 10° ≤ 2θ ≤ 90°, low angle first:
| Position (°2θ) | d/Å | I (rel.) |
| --- | --- | --- |
| 18.84 | 4.711 | 1000 |
| 23.75 | 3.747 | 468 |
| 35.47 | 2.531 | 877 |
| 36.07 | 2.490 | 809 |
| 36.87 | 2.438 | 350 |
| 39.03 | 2.308 | 398 |
| 41.84 | 2.159 | 344 |
| 44.37 | 2.042 | 687 |
| 45.50 | 1.994 | 433 |
| 48.63 | 1.872 | 366 |